[1]
Diffraction record for HgAu2I2Br2. The powder diffractogram is computed, not measured: it uses a crystal structure in OQMD, relaxed with GGA-PBE and Cu Ka.
Intensities are scaled so that the largest is 100.

The 6 most intense peaks (10° ≤ 2θ ≤ 90°), by angle:
Position (°2θ)  d/Å  intensity
14.78  5.994  38
24.91  3.574  100
25.04  3.557  30
36.15  2.485  38
40.55  2.225  35
40.86  2.208  20

Atomic structure:
```
data_HgAu2I2Br2
_chemical_formula_sum 'Hg1 Au2 I2 Br2'
_space_group_name_H-M_alt 'P 1 2 1'
_space_group_IT_number 3
_cell_length_a 5.967
_cell_length_b 5.998
_cell_length_c 6.626
_cell_angle_alpha 90.00
_cell_angle_beta 90.44
_cell_angle_gamma 90.00
loop_
_space_group_symop_operation_xyz
'x,y,z'
'-x,y,-z'
loop_
_atom_site_label
_atom_site_type_symbol
_atom_site_fract_x
_atom_site_fract_y
_atom_site_fract_z
Hg1 Hg 0.000 0.000 0.000
Au1 Au 0.000 0.642 0.500
Au2 Au 0.500 0.903 0.500
I1 I 0.282 0.657 0.798
Br1 Br 0.262 0.198 0.263
```


[2]
Diffraction record for Ga3Au. The powder diffractogram is computed, not measured: it uses a crystal structure in OQMD, relaxed with GGA-PBE and Cu Ka.
Intensities are scaled so that the largest is 100.

The 6 most intense peaks (10° ≤ 2θ ≤ 90°), by angle:
Position (°2θ)  d/Å  intensity
12.59  7.029  100
18.51  4.793  36
28.23  3.161  32
38.42  2.343  28
41.73  2.164  55
47.62  1.910  44

Atomic structure:
```
data_Ga3Au
_chemical_formula_sum 'Ga12 Au4'
_space_group_name_H-M_alt 'C m m m'
_space_group_IT_number 65
_space_group_name_Hall '-C 2 2'
_cell_length_a 4.578
_cell_length_b 13.107
_cell_length_c 7.029
_cell_angle_alpha 90.00
_cell_angle_beta 90.00
_cell_angle_gamma 90.00
loop_
_atom_site_label
_atom_site_type_symbol
_atom_site_fract_x
_atom_site_fract_y
_atom_site_fract_z
Ga1 Ga 0.000 0.095 0.000
Ga2 Ga 0.000 0.400 0.319
Au1 Au 0.000 0.310 0.000
```


[3]
Diffraction record for Li4Cd2InSn. The powder diffractogram is computed, not measured: it uses a crystal structure in OQMD, relaxed with GGA-PBE and Cu Ka.
Intensities are scaled so that the largest is 100.

The 6 most intense peaks (10° ≤ 2θ ≤ 90°), by angle:
Position (°2θ)  d/Å  intensity
23.14  3.844  100
38.23  2.354  97
45.05  2.012  17
45.22  2.005  34
60.58  1.529  14
69.18  1.358  22

Atomic structure:
```
data_Li4Cd2InSn
_chemical_formula_sum 'Li4 Cd2 In1 Sn1'
_space_group_name_H-M_alt 'P -4 m 2'
_space_group_IT_number 115
_cell_length_a 4.700
_cell_length_b 4.700
_cell_length_c 6.680
_cell_angle_alpha 90.00
_cell_angle_beta 90.00
_cell_angle_gamma 90.00
loop_
_space_group_symop_operation_xyz
'x,y,z'
'y,-x,-z'
'-x,-y,z'
'-y,x,-z'
'-x,y,z'
'-y,-x,-z'
'x,-y,z'
'y,x,-z'
loop_
_atom_site_label
_atom_site_type_symbol
_atom_site_fract_x
_atom_site_fract_y
_atom_site_fract_z
Li1 Li 0.000 0.000 0.000
Li2 Li 0.000 0.500 0.749
Li3 Li 0.500 0.500 0.500
Cd1 Cd 0.000 0.500 0.255
In1 In 0.000 0.000 0.500
Sn1 Sn 0.500 0.500 0.000
```